# 1
Calculated PXRD pattern of MnAg4Sb2S6 for Cu Ka, from a cell relaxed with PBE.

Atomic structure:
```
26
Lattice="6.7329 0.0000 0.0000 0.0000 8.0113 0.0000 -6.4366 0.0000 10.6794" Properties=species:S:1:pos:R:3 pbc="T T T"
Mn 0.0000 0.0000 0.0000
Mn -3.2183 4.0056 5.3397
Ag -0.3688 1.6321 3.3854
Ag -3.5871 2.3735 8.7251
Ag 1.6147 4.2644 0.2949
Ag -1.6035 7.7525 5.6346
Ag 1.8999 0.2588 5.0448
Ag -1.3184 3.7469 10.3845
Ag 3.8834 5.6378 1.9543
Ag 0.6651 6.3791 7.2940
Sb 0.2735 5.2048 3.3252
Sb -2.9447 6.8121 8.6649
Sb 3.2410 1.1992 2.0145
Sb 0.0228 2.8065 7.3542
S -3.9806 4.7503 7.6827
S -0.7624 7.2666 2.3430
S -2.1317 1.9379 6.4689
S 1.0866 2.0678 1.1292
S -0.9971 5.4041 5.4888
S 2.2212 6.6128 0.1491
S -1.9249 1.3985 10.5302
S 1.2934 2.6071 5.1906
S -0.7903 5.9435 9.5502
S 2.4280 6.0734 4.2105
S 1.0587 0.7447 8.3364
S 4.2770 3.2609 2.9967
```

Principal peaks in the range 15° ≤ 2θ ≤ 90°, low angle first:
- 2θ = 23.7°, 3.750 Å, intensity 62
- 2θ = 27.4°, 3.258 Å, intensity 43
- 2θ = 27.8°, 3.204 Å, intensity 62
- 2θ = 28.7°, 3.111 Å, intensity 100
- 2θ = 29.8°, 3.000 Å, intensity 84
- 2θ = 30.8°, 2.900 Å, intensity 41
- 2θ = 31.0°, 2.881 Å, intensity 87
- 2θ = 35.7°, 2.517 Å, intensity 29
- 2θ = 37.1°, 2.423 Å, intensity 43
- 2θ = 42.6°, 2.124 Å, intensity 32

---

# 2
Calculated PXRD pattern of KCdP3O9 for Cu Ka, from a cell relaxed with PBE.

Atomic structure:
```
28
Lattice="6.9020 0.0000 0.0000 -3.4510 5.9773 0.0000 0.0000 0.0000 10.3405" Properties=species:S:1:pos:R:3 pbc="T T T"
K 0.0000 0.0000 0.0000
K 0.0000 0.0000 5.1702
Cd 3.4510 1.9924 0.0000
Cd 3.4510 1.9924 5.1702
P -1.0941 2.6400 2.5851
P -1.7117 3.7099 7.7554
P 1.0941 2.6400 7.7554
P -0.6177 5.6048 2.5851
P 1.7117 3.7099 2.5851
P 0.6177 5.6048 7.7554
O -0.5252 2.6162 7.7554
O -1.4479 4.2145 2.5851
O 0.5252 2.6162 2.5851
O -0.9228 5.1240 7.7554
O 2.5218 0.3271 1.2914
O 2.5218 0.3271 3.8789
O 1.5442 2.0204 6.4616
O 1.5442 2.0204 9.0491
O 1.4479 4.2145 7.7554
O 0.9228 5.1240 2.5851
O 4.3803 0.3271 6.4616
O 4.3803 0.3271 9.0491
O 2.4734 3.6299 1.2914
O 2.4734 3.6299 3.8789
O 5.3578 2.0204 1.2914
O 5.3578 2.0204 3.8789
O 4.4286 3.6299 6.4616
O 4.4286 3.6299 9.0491
```

Principal peaks in the range 15° ≤ 2θ ≤ 90°, low angle first:
- 2θ = 22.7°, 3.910 Å, intensity 100
- 2θ = 27.2°, 3.274 Å, intensity 24
- 2θ = 29.9°, 2.989 Å, intensity 15
- 2θ = 31.2°, 2.870 Å, intensity 76
- 2θ = 34.7°, 2.586 Å, intensity 22
- 2θ = 39.9°, 2.259 Å, intensity 16
- 2θ = 43.7°, 2.069 Å, intensity 27
- 2θ = 45.5°, 1.992 Å, intensity 17
- 2θ = 46.4°, 1.955 Å, intensity 15
- 2θ = 53.9°, 1.701 Å, intensity 21

---

# 3
Calculated PXRD pattern of Sn2SeN2 for Cu Ka, from a cell relaxed with PBE.

Atomic structure:
```
5
Lattice="3.6495 0.0000 0.0000 -1.8248 3.1606 0.0000 0.0000 0.0000 7.1166" Properties=species:S:1:pos:R:3 pbc="T T T"
Sn 0.0000 2.1071 2.1256
Sn 1.8248 1.0535 4.9910
Se 0.0000 0.0000 0.0000
N 0.0000 2.1071 4.4604
N 1.8248 1.0535 2.6562
```

Principal peaks in the range 15° ≤ 2θ ≤ 90°, low angle first:
- 2θ = 31.0°, 2.889 Å, intensity 100
- 2θ = 37.9°, 2.372 Å, intensity 17
- 2θ = 38.1°, 2.363 Å, intensity 49
- 2θ = 47.9°, 1.897 Å, intensity 13
- 2θ = 50.0°, 1.825 Å, intensity 32
- 2θ = 59.6°, 1.550 Å, intensity 13
- 2θ = 60.0°, 1.543 Å, intensity 16
- 2θ = 64.4°, 1.446 Å, intensity 21
- 2θ = 64.5°, 1.444 Å, intensity 11
- 2θ = 81.7°, 1.178 Å, intensity 14

---

# 4
Calculated PXRD pattern of Sm2Ga3Co for Cu Ka, from a cell relaxed with PBE.

Atomic structure:
```
6
Lattice="3.8368 0.0000 0.0000 0.0000 4.2971 0.0000 0.0000 0.0000 7.5854" Properties=species:S:1:pos:R:3 pbc="T T T"
Sm 0.0000 0.0000 0.0000
Sm 0.0000 2.1486 3.5221
Ga 1.9184 0.0000 4.7924
Ga 1.9184 2.1486 1.1608
Ga 1.9184 2.1486 6.1677
Co 1.9184 0.0000 2.3167
```

Principal peaks in the range 15° ≤ 2θ ≤ 90°, low angle first:
- 2θ = 23.8°, 3.739 Å, intensity 15
- 2θ = 33.2°, 2.697 Å, intensity 49
- 2θ = 33.5°, 2.678 Å, intensity 100
- 2θ = 41.4°, 2.179 Å, intensity 45
- 2θ = 42.1°, 2.149 Å, intensity 23
- 2θ = 47.4°, 1.918 Å, intensity 16
- 2θ = 53.9°, 1.700 Å, intensity 11
- 2θ = 54.6°, 1.681 Å, intensity 24
- 2θ = 64.7°, 1.440 Å, intensity 23
- 2θ = 65.2°, 1.431 Å, intensity 13

---

# 5
Calculated PXRD pattern of Zr2N2O for Cu Ka, from a cell relaxed with PBE.

Atomic structure:
```
20
Lattice="5.5294 0.0000 0.0000 2.7320 4.8614 0.0000 2.6862 1.4635 9.8652" Properties=species:S:1:pos:R:3 pbc="T T T"
Zr 0.0000 0.0000 0.0000
Zr 2.6850 1.6498 6.6583
Zr 2.7726 1.5798 2.4678
Zr 5.4973 3.0664 9.1340
Zr 5.3928 3.1255 4.9296
Zr 5.3951 3.2976 1.7264
Zr 8.1621 4.8061 7.3903
Zr 8.2856 4.8577 4.1852
N 3.4633 3.3339 5.7572
N 4.6504 4.6661 3.3124
N 3.4609 3.0882 0.8910
N 4.2691 1.4745 8.2768
N 4.6683 1.7449 3.3218
N 3.5060 0.1820 0.8267
N 7.3401 2.9514 8.2086
N 6.2299 1.3604 5.7924
O 4.5368 4.8655 8.2969
O 6.4829 4.7701 5.8201
O 7.1238 3.2006 3.3359
O 6.5193 1.6477 0.8647
```

Principal peaks in the range 15° ≤ 2θ ≤ 90°, low angle first:
- 2θ = 30.3°, 2.948 Å, intensity 100
- 2θ = 30.4°, 2.937 Å, intensity 95
- 2θ = 30.6°, 2.922 Å, intensity 88
- 2θ = 31.9°, 2.804 Å, intensity 81
- 2θ = 32.1°, 2.787 Å, intensity 82
- 2θ = 32.4°, 2.765 Å, intensity 81
- 2θ = 44.3°, 2.046 Å, intensity 40
- 2θ = 44.9°, 2.018 Å, intensity 36
- 2θ = 45.4°, 1.998 Å, intensity 35
- 2θ = 56.4°, 1.630 Å, intensity 33

---

# 6
Calculated PXRD pattern of UCrC2 for Cu Ka, from a cell relaxed with PBE.

Atomic structure:
```
16
Lattice="5.4723 0.0000 0.0000 0.0000 3.1384 0.0000 0.0000 0.0000 10.7159" Properties=species:S:1:pos:R:3 pbc="T T T"
U 0.4297 0.7846 1.5148
U 2.3064 2.3538 6.8728
U 3.1659 0.7846 3.8431
U 5.0425 2.3538 9.2011
Cr 0.4149 2.3538 4.2982
Cr 2.3212 0.7846 9.6562
Cr 3.1510 2.3538 1.0597
Cr 5.0574 0.7846 6.4177
C 0.9104 0.7846 8.0850
C 1.2495 0.7846 5.2460
C 1.4866 2.3538 10.6040
C 1.8257 2.3538 2.7271
C 3.6465 0.7846 7.9888
C 3.9857 0.7846 0.1119
C 4.2227 2.3538 5.4699
C 4.5619 2.3538 2.6309
```

Principal peaks in the range 15° ≤ 2θ ≤ 90°, low angle first:
- 2θ = 18.2°, 4.874 Å, intensity 34
- 2θ = 23.2°, 3.828 Å, intensity 17
- 2θ = 29.7°, 3.012 Å, intensity 27
- 2θ = 29.9°, 2.991 Å, intensity 41
- 2θ = 33.4°, 2.679 Å, intensity 30
- 2θ = 33.8°, 2.651 Å, intensity 29
- 2θ = 37.0°, 2.427 Å, intensity 100
- 2θ = 41.7°, 2.165 Å, intensity 16
- 2θ = 51.6°, 1.770 Å, intensity 17
- 2θ = 59.2°, 1.560 Å, intensity 16

---

# 7
Calculated PXRD pattern of LiGd6In2O12 for Cu Ka, from a cell relaxed with PBE.

Atomic structure:
```
21
Lattice="4.9444 2.8546 3.7153 -4.9444 2.8546 3.7153 0.0000 -5.7093 3.7153" Properties=species:S:1:pos:R:3 pbc="T T T"
Li 0.0000 0.0000 0.0000
Gd -4.0019 -0.4227 6.4296
Gd -0.9701 -2.2669 5.6686
Gd -1.4781 1.9736 5.6686
Gd 2.3670 -3.2544 6.4296
Gd 2.4483 0.2933 5.6686
Gd 1.6349 3.6771 6.4296
In 0.0000 0.0000 2.5977
In 0.0000 0.0000 7.9835
O -3.3097 -2.5949 5.7637
O -0.8391 -1.8698 3.4560
O -3.7648 1.3716 4.9008
O 0.6946 -3.9462 4.9008
O -1.1998 1.6616 3.4560
O -1.7063 -0.1819 6.5702
O 2.0389 0.2082 3.4560
O 1.0107 -1.3868 6.5702
O -0.5924 4.1637 5.7637
O 0.6956 1.5686 6.5702
O 3.9021 -1.5689 5.7637
O 3.0703 2.5746 4.9008
```

Principal peaks in the range 15° ≤ 2θ ≤ 90°, low angle first:
- 2θ = 24.0°, 3.715 Å, intensity 45
- 2θ = 26.2°, 3.395 Å, intensity 21
- 2θ = 28.7°, 3.108 Å, intensity 100
- 2θ = 30.1°, 2.970 Å, intensity 45
- 2θ = 31.3°, 2.855 Å, intensity 22
- 2θ = 32.0°, 2.799 Å, intensity 71
- 2θ = 41.3°, 2.185 Å, intensity 26
- 2θ = 42.8°, 2.112 Å, intensity 35
- 2θ = 48.7°, 1.869 Å, intensity 27
- 2θ = 52.6°, 1.739 Å, intensity 21

---

# 8
Calculated PXRD pattern of Mg3BeAl8O16 for Cu Ka, from a cell relaxed with PBE.

Atomic structure:
```
56
Lattice="5.7239 0.0000 0.0000 -2.8620 4.9571 0.0000 0.0000 0.0000 18.5670" Properties=species:S:1:pos:R:3 pbc="T T T"
Mg 0.0000 0.0000 0.0000
Mg 0.0000 0.0000 9.2835
Mg 0.0000 3.3047 1.1722
Mg 0.0000 3.3047 4.6556
Mg 2.8620 1.6524 10.4556
Mg 2.8620 1.6524 13.9390
Be 0.0000 3.3047 14.8514
Be 2.8620 1.6524 5.5679
Al 0.0000 0.0000 5.3833
Al 0.0000 0.0000 14.6667
Al -1.4149 2.4878 7.5260
Al 0.0000 1.6353 12.2538
Al -1.4458 4.1394 12.2538
Al 1.4162 0.8176 2.9703
Al 0.0000 3.3047 9.9036
Al 1.4149 2.4878 7.5260
Al 0.0000 4.9384 7.5260
Al 2.8620 0.0186 16.8095
Al 1.4471 2.4692 16.8095
Al 2.8620 1.6524 0.6201
Al 1.4458 4.1394 12.2538
Al 4.3077 0.8176 2.9703
Al 2.8620 3.3218 2.9703
Al 4.2768 2.4692 16.8095
O 0.0000 0.0000 1.9555
O 0.0000 0.0000 11.2390
O -1.2780 2.5669 11.1478
O 0.0000 1.4634 4.0690
O -1.5947 4.2254 4.0690
O 0.0000 1.7736 15.6594
O -1.3260 4.0703 15.6594
O 0.0000 1.8333 8.6593
O -1.2743 4.0404 8.6593
O 1.2673 0.7317 13.3524
O 0.0000 3.3047 6.5796
O 0.0000 3.3047 13.2747
O 0.0000 3.3047 17.7536
O 1.5360 0.8868 6.3759
O 1.5877 0.9166 17.9428
O 1.2780 2.5669 11.1478
O 0.0000 4.7804 11.1478
O 2.8620 0.1767 1.8643
O 1.5840 2.3902 1.8643
O 1.2743 4.0404 8.6593
O 1.3260 4.0703 15.6594
O 2.8620 1.6524 3.9912
O 2.8620 1.6524 8.4701
O 2.8620 1.6524 15.8631
O 1.5947 4.2254 4.0690
O 4.1363 0.9166 17.9428
O 2.8620 3.1238 17.9428
O 4.1880 0.8868 6.3759
O 2.8620 3.1835 6.3759
O 4.4566 0.7317 13.3524
O 2.8620 3.4937 13.3524
O 4.1399 2.3902 1.8643
```

Principal peaks in the range 15° ≤ 2θ ≤ 90°, low angle first:
- 2θ = 20.3°, 4.373 Å, intensity 36
- 2θ = 34.2°, 2.625 Å, intensity 46
- 2θ = 36.9°, 2.436 Å, intensity 100
- 2θ = 37.6°, 2.395 Å, intensity 30
- 2θ = 43.9°, 2.062 Å, intensity 74
- 2θ = 47.0°, 1.935 Å, intensity 45
- 2θ = 57.5°, 1.603 Å, intensity 35
- 2θ = 62.5°, 1.486 Å, intensity 59
- 2θ = 65.2°, 1.431 Å, intensity 89
- 2θ = 67.1°, 1.395 Å, intensity 35